CsVNiF6: theoretical powder XRD pattern (Cu Kα (λ = 1.5418 Å)), based on a GGA+U-relaxed structure.

Structural model:
```
CsVNiF6
1.0
-3.6721 3.7946 5.2321
3.6721 -3.7946 5.2321
3.6721 3.7946 -5.2321
Cs V Ni F
2 2 2 12
direct
0.3724 0.1224 0.2500 Cs
0.6276 0.8776 0.7500 Cs
0.0000 0.5000 0.5000 V
0.5000 0.5000 0.0000 V
0.0000 0.0000 0.5000 Ni
0.0000 0.5000 0.0000 Ni
0.0702 0.8202 0.2500 F
0.0736 0.4341 0.2600 F
0.0736 0.8135 0.6394 F
0.3162 0.5662 0.7500 F
0.3259 0.1865 0.7600 F
0.3259 0.5659 0.1394 F
0.6741 0.4341 0.8606 F
0.6741 0.8135 0.2400 F
0.6838 0.4338 0.2500 F
0.9264 0.1865 0.3606 F
0.9264 0.5659 0.7400 F
0.9298 0.1798 0.7500 F
```

Peak list (10 most intense, 2θ = 10–90°, in order of rising 2θ)
| d [Å] | 2θ/deg | I/Imax |
| --- | --- | --- |
| 3.716 | 23.95 | 49.9 |
| 3.209 | 27.80 | 68.1 |
| 3.169 | 28.16 | 40.4 |
| 3.152 | 28.32 | 100.0 |
| 3.072 | 29.07 | 16.7 |
| 3.006 | 29.72 | 18.1 |
| 2.048 | 44.23 | 21.2 |
| 2.004 | 45.25 | 16.4 |
| 1.858 | 49.03 | 50.9 |
| 1.589 | 58.03 | 16.9 |

***

Mg3Fe2O5: theoretical powder XRD pattern (Cu Kα (λ = 1.5418 Å)), based on a GGA+U-relaxed structure.

Structural model:
```
Mg3Fe2O5
1.0
5.2742 0.0000 0.0000
-0.9560 5.2173 0.0000
-1.7443 -2.8862 7.2961
Mg Fe O
6 4 10
direct
0.0000 0.0000 0.0000 Mg
0.1996 0.3975 0.3975 Mg
0.2987 0.6031 0.0987 Mg
0.5000 0.0000 0.5000 Mg
0.7013 0.3969 0.9013 Mg
0.8004 0.6025 0.6025 Mg
0.1031 0.2056 0.7008 Fe
0.3976 0.7984 0.7993 Fe
0.6024 0.2016 0.2007 Fe
0.8969 0.7944 0.2992 Fe
0.0378 0.6081 0.8550 O
0.1567 0.7880 0.5524 O
0.2402 0.9952 0.2517 O
0.3576 0.2121 0.9607 O
0.4510 0.3852 0.6444 O
0.5490 0.6148 0.3556 O
0.6424 0.7879 0.0393 O
0.7598 0.0048 0.7483 O
0.8433 0.2120 0.4476 O
0.9622 0.3919 0.1450 O
```

Peak list (10 most intense, 2θ = 10–90°, in order of rising 2θ)
| d [Å] | 2θ/deg | I/Imax |
| --- | --- | --- |
| 4.809 | 18.45 | 29.6 |
| 3.648 | 24.40 | 33.0 |
| 2.493 | 36.03 | 77.0 |
| 2.181 | 41.40 | 100.0 |
| 2.151 | 42.01 | 97.1 |
| 2.140 | 42.24 | 94.3 |
| 1.531 | 60.47 | 83.5 |
| 1.525 | 60.74 | 28.8 |
| 1.519 | 60.98 | 27.4 |
| 1.515 | 61.20 | 27.9 |

***

LiTiV2O6: theoretical powder XRD pattern (Cu Kα (λ = 1.5418 Å)), based on a GGA+U-relaxed structure.

Structural model:
```
LiTiV2O6
1.0
2.9793 0.0000 0.0000
-0.0904 5.9997 0.0000
-1.4813 -1.3274 6.2647
Li Ti V O
1 1 2 6
direct
0.0000 0.0000 0.0000 Li
0.6815 0.8011 0.3573 Ti
0.3472 0.1904 0.6376 V
0.9844 0.4989 0.9977 V
0.1577 0.5971 0.3322 O
0.1680 0.0345 0.3411 O
0.4627 0.2644 0.9595 O
0.5111 0.7372 0.0342 O
0.8160 0.3964 0.6614 O
0.8311 0.9611 0.6540 O
```

Peak list (10 most intense, 2θ = 10–90°, in order of rising 2θ)
| d [Å] | 2θ/deg | I/Imax |
| --- | --- | --- |
| 4.809 | 18.45 | 100.0 |
| 2.566 | 34.97 | 11.8 |
| 2.552 | 35.16 | 13.1 |
| 2.535 | 35.40 | 11.1 |
| 2.129 | 42.45 | 21.0 |
| 2.098 | 43.12 | 18.8 |
| 2.088 | 43.33 | 18.7 |
| 1.507 | 61.55 | 6.1 |
| 1.493 | 62.16 | 5.9 |
| 1.489 | 62.34 | 5.9 |

***

Sc2W5Se3O12: theoretical powder XRD pattern (Cu Kα (λ = 1.5418 Å)), based on a GGA+U-relaxed structure.

Structural model:
```
Sc2W5Se3O12
1.0
7.9580 0.0000 0.0000
3.6728 9.6798 0.0000
0.7672 2.1246 10.6183
Sc W Se O
4 10 6 24
direct
0.0000 0.0000 0.0000 Sc
0.0936 0.9890 0.4655 Sc
0.3435 0.3558 0.1221 Sc
0.7467 0.6611 0.8116 Sc
0.2915 0.6400 0.2288 W
0.3552 0.5580 0.5940 W
0.4165 0.5547 0.8767 W
0.4423 0.8836 0.2968 W
0.4772 0.8572 0.0179 W
0.5994 0.1670 0.8746 W
0.6727 0.4957 0.4050 W
0.6916 0.1003 0.5865 W
0.6963 0.4644 0.1194 W
0.7347 0.4153 0.6926 W
0.0833 0.3348 0.9051 Se
0.2453 0.2789 0.4474 Se
0.2864 0.9270 0.7425 Se
0.7492 0.0979 0.2628 Se
0.9690 0.6556 0.0383 Se
0.9797 0.6783 0.5288 Se
0.0883 0.1657 0.9274 O
0.0905 0.3597 0.0569 O
0.1114 0.9245 0.8407 O
0.2156 0.1214 0.5116 O
0.2409 0.8553 0.6259 O
0.2521 0.5808 0.0577 O
0.2697 0.5829 0.4117 O
0.2961 0.2541 0.2941 O
0.4209 0.9995 0.1320 O
0.4349 0.3377 0.9451 O
0.4535 0.2569 0.5057 O
0.4538 0.7695 0.8392 O
0.5496 0.7092 0.3968 O
0.6336 0.2686 0.1769 O
0.6685 0.0220 0.7684 O
0.7002 0.6699 0.0127 O
0.7985 0.7327 0.6388 O
0.8253 0.1385 0.3949 O
0.8394 0.4310 0.8732 O
0.8446 0.3549 0.5347 O
0.9151 0.8309 0.0397 O
0.9464 0.0506 0.1812 O
0.9816 0.8476 0.4565 O
0.9959 0.6448 0.8806 O
```

Peak list (10 most intense, 2θ = 10–90°, in order of rising 2θ)
| d [Å] | 2θ/deg | I/Imax |
| --- | --- | --- |
| 7.440 | 11.89 | 60.0 |
| 7.199 | 12.29 | 30.5 |
| 3.367 | 26.48 | 100.0 |
| 3.149 | 28.34 | 15.8 |
| 3.114 | 28.66 | 25.0 |
| 3.046 | 29.32 | 19.9 |
| 2.765 | 32.37 | 18.8 |
| 2.730 | 32.80 | 15.1 |
| 2.602 | 34.47 | 32.0 |
| 2.545 | 35.26 | 24.8 |

***

Fe3OF5: theoretical powder XRD pattern (Cu Kα (λ = 1.5418 Å)), based on a GGA+U-relaxed structure.

Structural model:
```
Fe3OF5
1.0
5.7772 0.0000 0.0000
1.8338 5.5356 0.0000
2.4397 1.6086 7.0425
Fe O F
6 2 10
direct
0.0000 0.0000 0.0000 Fe
0.0000 0.0000 0.5000 Fe
0.3294 0.3101 0.1794 Fe
0.3593 0.3081 0.6663 Fe
0.6407 0.6919 0.3337 Fe
0.6706 0.6899 0.8206 Fe
0.3564 0.9908 0.3219 O
0.6436 0.0092 0.6781 O
0.0400 0.6087 0.6802 F
0.0948 0.0986 0.7070 F
0.2258 0.2444 0.9742 F
0.3141 0.6869 0.0003 F
0.4220 0.4381 0.3587 F
0.5780 0.5619 0.6413 F
0.6859 0.3131 0.9997 F
0.7742 0.7556 0.0258 F
0.9052 0.9014 0.2930 F
0.9600 0.3913 0.3198 F
```

Peak list (10 most intense, 2θ = 10–90°, in order of rising 2θ)
| d [Å] | 2θ/deg | I/Imax |
| --- | --- | --- |
| 3.460 | 25.75 | 97.8 |
| 3.397 | 26.23 | 100.0 |
| 2.685 | 33.38 | 56.6 |
| 2.650 | 33.83 | 27.5 |
| 2.647 | 33.86 | 26.4 |
| 2.349 | 38.32 | 20.1 |
| 1.805 | 50.58 | 30.8 |
| 1.799 | 50.76 | 30.8 |
| 1.730 | 52.92 | 22.4 |
| 1.596 | 57.76 | 19.4 |

***

Li4Co5CuO12: theoretical powder XRD pattern (Cu Kα (λ = 1.5418 Å)), based on a GGA+U-relaxed structure.

Structural model:
```
Li4Co5CuO12
1.0
2.4667 -4.2581 0.0000
2.4667 4.2581 0.0000
-0.1607 0.0000 9.9215
Li Co Cu O
4 5 1 12
direct
0.1612 0.6693 0.7485 Li
0.3307 0.8388 0.2515 Li
0.6693 0.1612 0.7485 Li
0.8388 0.3307 0.2515 Li
0.0000 0.0000 0.5000 Co
0.1644 0.8356 0.0000 Co
0.3350 0.6650 0.5000 Co
0.6650 0.3350 0.5000 Co
0.8356 0.1644 0.0000 Co
0.5000 0.5000 0.0000 Cu
0.0038 0.6682 0.3987 O
0.1608 0.5089 0.1050 O
0.1658 0.1658 0.9024 O
0.3202 0.3202 0.4023 O
0.3318 0.9962 0.6013 O
0.4911 0.8392 0.8950 O
0.5089 0.1608 0.1050 O
0.6682 0.0038 0.3987 O
0.6798 0.6798 0.5977 O
0.8342 0.8342 0.0976 O
0.8392 0.4911 0.8950 O
0.9962 0.3318 0.6013 O
```

Peak list (10 most intense, 2θ = 10–90°, in order of rising 2θ)
| d [Å] | 2θ/deg | I/Imax |
| --- | --- | --- |
| 4.961 | 17.88 | 100.0 |
| 2.466 | 36.43 | 7.6 |
| 2.393 | 37.59 | 15.2 |
| 2.384 | 37.74 | 15.6 |
| 2.223 | 40.58 | 7.6 |
| 2.195 | 41.12 | 10.5 |
| 1.982 | 45.79 | 15.2 |
| 1.966 | 46.16 | 15.4 |
| 1.551 | 59.62 | 8.2 |
| 1.539 | 60.14 | 8.3 |

***

MoWO6: theoretical powder XRD pattern (Cu Kα (λ = 1.5418 Å)), based on a GGA+U-relaxed structure.

Structural model:
```
MoWO6
1.0
5.3645 0.0000 0.0000
0.0000 5.4247 0.0000
-5.3609 0.0000 7.6266
Mo W O
2 2 12
direct
0.0000 0.0000 0.0000 Mo
0.0000 0.5000 0.5000 Mo
0.5000 0.0000 0.5000 W
0.5000 0.5000 0.0000 W
0.1937 0.0060 0.2495 O
0.1937 0.4940 0.7495 O
0.2506 0.7237 0.0285 O
0.2506 0.7763 0.5285 O
0.3048 0.2228 0.0276 O
0.3048 0.2772 0.5276 O
0.6952 0.7228 0.4724 O
0.6952 0.7772 0.9724 O
0.7494 0.2237 0.4715 O
0.7494 0.2763 0.9715 O
0.8063 0.5060 0.2505 O
0.8063 0.9940 0.7505 O
```

Peak list (10 most intense, 2θ = 10–90°, in order of rising 2θ)
| d [Å] | 2θ/deg | I/Imax |
| --- | --- | --- |
| 3.814 | 23.32 | 100.0 |
| 2.712 | 33.03 | 8.8 |
| 2.697 | 33.22 | 33.7 |
| 2.682 | 33.41 | 8.0 |
| 1.907 | 47.69 | 19.1 |
| 1.713 | 53.48 | 6.9 |
| 1.706 | 53.74 | 26.2 |
| 1.563 | 59.11 | 7.1 |
| 1.551 | 59.59 | 7.6 |
| 1.348 | 69.74 | 7.1 |

***

Mn2CuO4: theoretical powder XRD pattern (Cu Kα (λ = 1.5418 Å)), based on a GGA+U-relaxed structure.

Structural model:
```
Mn2CuO4
1.0
5.3434 -2.9697 0.0000
5.3434 2.9697 0.0000
-0.8652 0.0000 14.7172
Mn Cu O
12 6 24
direct
0.0000 0.0000 0.0000 Mn
0.0010 0.4973 0.9989 Mn
0.1621 0.6649 0.6655 Mn
0.3333 0.3333 0.3333 Mn
0.3340 0.8340 0.3329 Mn
0.4933 0.4933 0.8778 Mn
0.4973 0.0010 0.9989 Mn
0.4997 0.4997 0.4997 Mn
0.6649 0.1621 0.6655 Mn
0.6653 0.6653 0.6665 Mn
0.8272 0.8272 0.2118 Mn
0.8340 0.3340 0.3329 Mn
0.1629 0.1629 0.5432 Cu
0.1660 0.1660 0.1653 Cu
0.1672 0.1672 0.7852 Cu
0.5024 0.5024 0.1205 Cu
0.8308 0.8308 0.8319 Cu
0.8361 0.8361 0.4564 Cu
0.0095 0.0095 0.2594 O
0.0135 0.4626 0.2586 O
0.1283 0.6778 0.9257 O
0.1588 0.1588 0.4087 O
0.1765 0.1765 0.9232 O
0.2039 0.6538 0.4097 O
0.3248 0.3248 0.0737 O
0.3246 0.8675 0.0727 O
0.3420 0.3420 0.5883 O
0.3462 0.7960 0.5878 O
0.4626 0.0135 0.2586 O
0.4897 0.4897 0.7388 O
0.5073 0.5073 0.2566 O
0.5294 0.9863 0.7410 O
0.6538 0.2039 0.4097 O
0.6570 0.6570 0.4078 O
0.6767 0.6767 0.9235 O
0.6778 0.1283 0.9257 O
0.7960 0.3462 0.5878 O
0.8230 0.8230 0.0734 O
0.8396 0.8396 0.5911 O
0.8675 0.3246 0.0727 O
0.9863 0.5294 0.7410 O
0.9881 0.9881 0.7422 O
```

Peak list (10 most intense, 2θ = 10–90°, in order of rising 2θ)
| d [Å] | 2θ/deg | I/Imax |
| --- | --- | --- |
| 3.047 | 29.31 | 68.3 |
| 2.652 | 33.81 | 82.9 |
| 2.644 | 33.91 | 28.8 |
| 2.542 | 35.32 | 91.8 |
| 2.532 | 35.46 | 100.0 |
| 2.092 | 43.24 | 32.1 |
| 1.616 | 56.98 | 31.3 |
| 1.612 | 57.13 | 28.6 |
| 1.526 | 60.71 | 46.1 |
| 1.521 | 60.89 | 44.8 |